Computed powder diffraction line list
Compound: CsScTe2
Radiation: Cu Kα X-rays
Structure: a crystal structure in Alexandria, relaxed with PBE
No peak broadening, texture or thermal motion is included.

Most intense lines, 10 to 90 degrees two-theta, by angle:
h k l  2θ/deg  d_spacing  intensity
2 0 -2  21.54  4.126  31
2 2 -1  22.72  3.914  100
1 1 1  24.34  3.656  60
1 3 -1  26.44  3.371  44
0 0 2  28.79  3.101  15
3 1 0  33.54  2.672  48
2 2 -3  36.98  2.431  22
4 2 -3  39.20  2.298  37
0 2 3  46.93  1.936  30
3 5 -2  48.50  1.877  25

Cell and atoms:
abc: 11.0543 11.0888 8.3004
angles: 90.00 131.65 90.00
Space group Cc (No. 9)
Symmetry-distinct sites (fractional):
Cs 0.0000 0.1231 0.0000 (multiplicity 4)
Sc 0.4559 0.1247 0.0002 (multiplicity 4)
Te 0.2620 0.3234 0.8981 (multiplicity 4)
Te 0.3675 0.0765 0.6026 (multiplicity 4)

***

Computed powder diffraction line list
Compound: Cs3Th2ScTe6
Radiation: Cu Kα X-rays
Structure: a crystal structure in Alexandria, relaxed with PBE
No peak broadening, texture or thermal motion is included.

Most intense lines, 10 to 90 degrees two-theta, by angle:
h k l  2θ/deg  d_spacing  intensity
2 0 -2  26.41  3.375  100
1 3 2  32.60  2.747  11
2 0 2  35.09  2.557  34
3 3 -1  40.15  2.246  36
1 3 -4  43.43  2.084  7
4 0 0  48.70  1.870  18
4 0 -4  54.36  1.688  10
3 3 -5  57.85  1.594  10
5 3 -3  64.88  1.437  15
3 3 -7  76.01  1.252  7

Cell and atoms:
abc: 7.7814 13.4760 9.4140
angles: 90.00 106.02 90.00
Space group C2/m (No. 12)
Symmetry-distinct sites (fractional):
Cs 0.0000 0.0000 0.0000 (multiplicity 2)
Cs 0.0000 0.3285 0.0000 (multiplicity 4)
Th 0.0000 0.1659 0.5000 (multiplicity 4)
Sc 0.0000 0.5000 0.5000 (multiplicity 2)
Te 0.2235 0.3404 0.6928 (multiplicity 8)
Te 0.2465 0.0000 0.6951 (multiplicity 4)

***

Computed powder diffraction line list
Compound: Cs2ScZn2Te4
Radiation: Cu Kα X-rays
Structure: a crystal structure in Alexandria, relaxed with PBE
No peak broadening, texture or thermal motion is included.

Most intense lines, 10 to 90 degrees two-theta, by angle:
h k l  2θ/deg  d_spacing  intensity
1 1 1  23.85  3.731  38
4 0 -2  25.74  3.461  59
3 1 0  25.94  3.435  64
2 0 2  27.12  3.288  28
4 0 1  27.84  3.204  33
1 1 -2  28.32  3.152  100
3 1 -2  30.11  2.968  43
0 2 0  39.80  2.265  37
3 1 3  45.99  1.973  37
7 1 1  49.27  1.849  35

Cell and atoms:
abc: 16.6467 4.5301 8.7865
angles: 90.00 108.27 90.00
Space group C2/m (No. 12)
Symmetry-distinct sites (fractional):
Cs 0.1320 0.0000 0.0635 (multiplicity 4)
Sc 0.0000 0.0000 0.5000 (multiplicity 2)
Zn 0.1727 0.5000 0.4777 (multiplicity 4)
Te 0.0136 0.5000 0.2803 (multiplicity 4)
Te 0.1926 0.0000 0.6592 (multiplicity 4)

***

Computed powder diffraction line list
Compound: Cs3Se4
Radiation: Cu Kα X-rays
Structure: a crystal structure in Alexandria, relaxed with PBE
No peak broadening, texture or thermal motion is included.

Most intense lines, 10 to 90 degrees two-theta, by angle:
h k l  2θ/deg  d_spacing  intensity
1 1 1  25.91  3.439  47
5 1 0  26.13  3.410  100
3 1 -1  26.26  3.394  46
0 2 0  33.29  2.692  39
8 0 -1  34.50  2.599  27
2 0 -2  37.26  2.413  29
3 1 2  45.56  1.991  22
7 1 -2  46.62  1.948  20
2 2 -2  50.82  1.796  22
5 3 0  55.30  1.661  18

Cell and atoms:
abc: 22.4233 5.3830 4.8273
angles: 90.00 100.71 90.00
Space group C2/m (No. 12)
Symmetry-distinct sites (fractional):
Cs 0.0000 0.0000 0.0000 (multiplicity 2)
Cs 0.1869 0.0000 0.6944 (multiplicity 4)
Se 0.0904 0.5000 0.6184 (multiplicity 4)
Se 0.1363 0.5000 0.1525 (multiplicity 4)

***

Computed powder diffraction line list
Compound: CsSe4
Radiation: Cu Kα X-rays
Structure: a crystal structure in Alexandria, relaxed with PBE
No peak broadening, texture or thermal motion is included.

Most intense lines, 10 to 90 degrees two-theta, by angle:
h k l  2θ/deg  d_spacing  intensity
0 0 1  17.86  4.967  35
2 0 -1  27.11  3.290  65
1 1 1  28.26  3.158  26
2 0 0  28.51  3.131  41
1 3 0  29.34  3.044  100
1 3 -1  31.43  2.847  44
1 1 -2  34.34  2.611  41
1 1 2  45.05  2.012  22
3 3 -1  47.90  1.899  28
0 4 2  50.72  1.800  24

Cell and atoms:
abc: 6.8001 10.4482 5.3935
angles: 90.00 112.94 90.00
Space group C2/m (No. 12)
Symmetry-distinct sites (fractional):
Cs 0.0000 0.0000 0.0000 (multiplicity 2)
Se 0.0682 0.3589 0.2272 (multiplicity 8)

***

Computed powder diffraction line list
Compound: Cs3SiSe3
Radiation: Cu Kα X-rays
Structure: a crystal structure in Alexandria, relaxed with PBE
No peak broadening, texture or thermal motion is included.

Most intense lines, 10 to 90 degrees two-theta, by angle:
h k l  2θ/deg  d_spacing  intensity
0 4 0  19.51  4.550  91
2 2 1  23.10  3.850  46
0 0 2  24.65  3.611  87
3 1 0  25.90  3.440  100
0 4 2  31.63  2.829  54
2 6 0  34.13  2.627  39
3 1 2  36.06  2.491  83
4 0 2  42.49  2.127  22
2 6 2  42.58  2.123  28
5 5 2  56.59  1.626  25

Cell and atoms:
abc: 10.5269 18.1674 7.2229
angles: 90.00 90.00 90.00
Space group Cmcm (No. 63)
Symmetry-distinct sites (fractional):
Cs 0.0000 0.1908 0.2500 (multiplicity 4)
Cs 0.2124 0.4043 0.2500 (multiplicity 8)
Si 0.0000 0.3330 0.7500 (multiplicity 4)
Se 0.0000 0.2083 0.7500 (multiplicity 4)
Se 0.1863 0.3955 0.7500 (multiplicity 8)